Rb2H3Se: computed powder diffraction line list (CuKα), based on a structure optimized by DFT (GGA-PBE).
Intensities are scaled so that the largest is 100.

Most intense lines, 10 to 80 degrees two-theta, sorted by position:
14.97°, intensity 28; 21.24°, intensity 17; 28.62°, intensity 14; 30.21°, intensity 63; 32.45°, intensity 100; 43.25°, intensity 23; 55.09°, intensity 43; 59.25°, intensity 17

abc: 6.9631 6.9631 6.9631
angles: 106.13 106.13 116.37
Atoms (fractional coordinates):
1 Rb 0.2491 0.7491 0.9983
2 Rb 0.2509 0.2491 0.5000
3 Rb 0.7491 0.7509 0.5000
4 Rb 0.7509 0.2509 0.0017
5 H 0.1042 0.6042 0.5000
6 H 0.2500 0.7500 0.5000
7 H 0.3958 0.8958 0.5000
8 H 0.6042 0.1042 0.5000
9 H 0.7500 0.2500 0.5000
10 H 0.8958 0.3958 0.5000
11 Se 0.2500 0.2500 0.0000
12 Se 0.7500 0.7500 0.0000